Simulated X-ray powder pattern of La4V6O19 for CuKα, from DFT lattice parameters and positions (PBE+U).
Neutral-atom scattering factors, no anomalous dispersion.

Top 6 peaks for 2θ = 10–90°, sorted by position:
d_spacing, I/Imax
3.644, 100.0
2.823, 52.8
2.386, 23.4
2.104, 69.7
1.488, 25.9
1.215, 22.1

Crystal structure
a b c (Å): 7.7304 7.7304 7.7304
angles (deg): 109.47 109.47 109.47
Fractional coordinates of all 29 atoms:
1 La 0.0000 0.0000 0.3235
2 La 0.0000 0.3235 0.0000
3 La 0.3235 0.0000 0.0000
4 La 0.6765 0.6765 0.6765
5 V 0.1626 0.5000 0.6626
6 V 0.3374 0.8374 0.5000
7 V 0.5000 0.3374 0.8374
8 V 0.5000 0.6626 0.1626
9 V 0.6626 0.1626 0.5000
10 V 0.8374 0.5000 0.3374
11 O 0.0000 0.0000 0.0000
12 O 0.0000 0.3566 0.3566
13 O 0.0000 0.6434 0.6434
14 O 0.0340 0.6749 0.2894
15 O 0.2554 0.6409 0.9660
16 O 0.2894 0.0340 0.6749
17 O 0.3251 0.3591 0.6145
18 O 0.3566 0.0000 0.3566
19 O 0.3566 0.3566 0.0000
20 O 0.3591 0.6145 0.3251
21 O 0.3855 0.7446 0.7106
22 O 0.6145 0.3251 0.3591
23 O 0.6409 0.9660 0.2554
24 O 0.6434 0.0000 0.6434
25 O 0.6434 0.6434 0.0000
26 O 0.6749 0.2894 0.0340
27 O 0.7106 0.3855 0.7446
28 O 0.7446 0.7106 0.3855
29 O 0.9660 0.2554 0.6409

Simulated X-ray powder pattern of LaW11O33 for CuKα, from DFT lattice parameters and positions (PBE+U).
Neutral-atom scattering factors, no anomalous dispersion.

Top 6 peaks for 2θ = 10–90°, sorted by position:
d_spacing, I/Imax
3.884, 91.2
3.882, 45.5
2.746, 100.0
1.942, 33.7
1.737, 55.8
1.585, 40.4

Crystal structure
a b c (Å): 8.6806 8.6826 9.5121
angles (deg): 90.00 100.49 113.57
Fractional coordinates of all 45 atoms:
1 La 0.0000 0.0000 0.0000
2 W 0.0000 0.5000 0.5000
3 W 0.0962 0.1415 0.6767
4 W 0.1847 0.7697 0.8604
5 W 0.2770 0.4147 0.0486
6 W 0.3670 0.0430 0.2326
7 W 0.4514 0.6788 0.4113
8 W 0.5486 0.3212 0.5887
9 W 0.6330 0.9570 0.7674
10 W 0.7230 0.5853 0.9514
11 W 0.8153 0.2303 0.1396
12 W 0.9038 0.8585 0.3233
13 O 0.0000 0.0000 0.5000
14 O 0.0446 0.3091 0.0896
15 O 0.0457 0.3186 0.5919
16 O 0.0912 0.6374 0.6819
17 O 0.1314 0.9565 0.2653
18 O 0.1337 0.9564 0.7794
19 O 0.1773 0.2649 0.8680
20 O 0.2269 0.5903 0.4554
21 O 0.2265 0.5904 0.9549
22 O 0.2642 0.9113 0.0441
23 O 0.3091 0.2204 0.1325
24 O 0.3193 0.2276 0.6361
25 O 0.3631 0.5447 0.2276
26 O 0.4073 0.8621 0.3180
27 O 0.4098 0.8640 0.8182
28 O 0.4546 0.1810 0.4089
29 O 0.5000 0.5000 0.0000
30 O 0.5000 0.5000 0.5000
31 O 0.5454 0.8190 0.5911
32 O 0.5901 0.1360 0.1818
33 O 0.5927 0.1379 0.6820
34 O 0.6369 0.4553 0.7724
35 O 0.6807 0.7724 0.3639
36 O 0.6909 0.7796 0.8675
37 O 0.7358 0.0887 0.9559
38 O 0.7735 0.4096 0.0451
39 O 0.7731 0.4097 0.5446
40 O 0.8227 0.7351 0.1320
41 O 0.8663 0.0436 0.2206
42 O 0.8686 0.0435 0.7347
43 O 0.9088 0.3626 0.3181
44 O 0.9543 0.6814 0.4081
45 O 0.9554 0.6909 0.9104

Simulated X-ray powder pattern of La2W3O12 for CuKα, from DFT lattice parameters and positions (PBE+U).
Neutral-atom scattering factors, no anomalous dispersion.

Top 6 peaks for 2θ = 10–90°, sorted by position:
d_spacing, I/Imax
4.967, 31.9
3.706, 32.8
3.341, 100.0
3.154, 66.2
2.730, 30.4
2.016, 53.4

Crystal structure
a b c (Å): 7.2118 7.2118 11.8388
angles (deg): 100.92 100.92 112.09
Fractional coordinates of all 34 atoms:
1 La 0.0560 0.3088 0.0959
2 La 0.3088 0.0560 0.5959
3 La 0.6912 0.9440 0.4041
4 La 0.9440 0.6912 0.9041
5 W 0.1165 0.8835 0.2500
6 W 0.2001 0.4951 0.4552
7 W 0.4951 0.2001 0.9552
8 W 0.5049 0.7999 0.0448
9 W 0.7999 0.5049 0.5448
10 W 0.8835 0.1165 0.7500
11 O 0.0130 0.6043 0.2180
12 O 0.0286 0.9487 0.1121
13 O 0.0513 0.9714 0.3879
14 O 0.0972 0.6732 0.5699
15 O 0.1940 0.3545 0.3077
16 O 0.2303 0.6250 0.0380
17 O 0.3266 0.4016 0.5600
18 O 0.3268 0.9028 0.9301
19 O 0.3545 0.1940 0.8077
20 O 0.3750 0.7697 0.4620
21 O 0.3957 0.9870 0.2820
22 O 0.4016 0.3266 0.0600
23 O 0.5984 0.6734 0.9400
24 O 0.6043 0.0130 0.7180
25 O 0.6250 0.2303 0.5380
26 O 0.6455 0.8060 0.1923
27 O 0.6732 0.0972 0.0699
28 O 0.6734 0.5984 0.4400
29 O 0.7697 0.3750 0.9620
30 O 0.8060 0.6455 0.6923
31 O 0.9028 0.3268 0.4301
32 O 0.9487 0.0286 0.6121
33 O 0.9714 0.0513 0.8879
34 O 0.9870 0.3957 0.7820

Simulated X-ray powder pattern of LaW9O28 for CuKα, from DFT lattice parameters and positions (PBE+U).
Neutral-atom scattering factors, no anomalous dispersion.

Top 6 peaks for 2θ = 10–90°, sorted by position:
d_spacing, I/Imax
6.517, 37.2
3.902, 58.0
3.258, 100.0
2.501, 65.6
1.695, 26.5
1.674, 29.8

Crystal structure
a b c (Å): 13.0334 13.0334 3.9018
angles (deg): 90.00 90.00 120.00
Fractional coordinates of all 38 atoms:
1 La 0.0000 0.0000 0.0000
2 W 0.0000 0.5000 0.9989
3 W 0.1680 0.3360 0.0054
4 W 0.1680 0.8320 0.0054
5 W 0.3360 0.1680 0.0054
6 W 0.5000 0.0000 0.9989
7 W 0.5000 0.5000 0.9989
8 W 0.6640 0.8320 0.0054
9 W 0.8320 0.1680 0.0054
10 W 0.8320 0.6640 0.0054
11 O 0.0000 0.0000 0.5000
12 O 0.0000 0.2089 0.0030
13 O 0.0000 0.5000 0.5021
14 O 0.0000 0.7911 0.0030
15 O 0.1191 0.4522 0.0028
16 O 0.1191 0.6669 0.0028
17 O 0.1670 0.3339 0.5034
18 O 0.1670 0.8330 0.5034
19 O 0.2089 0.0000 0.0030
20 O 0.2089 0.2089 0.0030
21 O 0.3331 0.4522 0.0028
22 O 0.3331 0.8809 0.0028
23 O 0.3339 0.1670 0.5034
24 O 0.4522 0.1191 0.0028
25 O 0.4522 0.3331 0.0028
26 O 0.5000 0.0000 0.5021
27 O 0.5000 0.5000 0.5021
28 O 0.5478 0.6669 0.0028
29 O 0.5478 0.8809 0.0028
30 O 0.6661 0.8330 0.5034
31 O 0.6669 0.1191 0.0028
32 O 0.6669 0.5478 0.0028
33 O 0.7911 0.0000 0.0030
34 O 0.7911 0.7911 0.0030
35 O 0.8330 0.1670 0.5034
36 O 0.8330 0.6661 0.5034
37 O 0.8809 0.3331 0.0028
38 O 0.8809 0.5478 0.0028

Simulated X-ray powder pattern of La2W2O9 for CuKα, from DFT lattice parameters and positions (PBE+U).
Neutral-atom scattering factors, no anomalous dispersion.

Top 6 peaks for 2θ = 10–90°, sorted by position:
d_spacing, I/Imax
3.460, 100.0
3.258, 49.2
3.228, 90.0
3.108, 46.7
3.074, 36.5
3.015, 48.4

Crystal structure
a b c (Å): 7.0839 7.3867 7.5038
angles (deg): 70.23 84.34 82.93
Fractional coordinates of all 26 atoms:
1 La 0.1192 0.2813 0.3943
2 La 0.3399 0.7404 0.8487
3 La 0.6601 0.2596 0.1513
4 La 0.8808 0.7187 0.6057
5 W 0.2308 0.2649 0.9443
6 W 0.3422 0.7979 0.3593
7 W 0.6578 0.2021 0.6407
8 W 0.7692 0.7351 0.0557
9 O 0.0089 0.2343 0.1001
10 O 0.1516 0.6456 0.3654
11 O 0.1632 0.4867 0.7507
12 O 0.1818 0.9047 0.5319
13 O 0.2277 0.0739 0.8374
14 O 0.3155 0.4210 0.0895
15 O 0.3558 0.0605 0.2037
16 O 0.4732 0.2921 0.4675
17 O 0.4809 0.7296 0.1499
18 O 0.5191 0.2704 0.8501
19 O 0.5268 0.7079 0.5325
20 O 0.6442 0.9395 0.7963
21 O 0.6845 0.5790 0.9105
22 O 0.7723 0.9261 0.1626
23 O 0.8182 0.0953 0.4681
24 O 0.8368 0.5133 0.2493
25 O 0.8484 0.3544 0.6346
26 O 0.9911 0.7657 0.8999

Simulated X-ray powder pattern of LaWO6 for CuKα, from DFT lattice parameters and positions (PBE+U).
Neutral-atom scattering factors, no anomalous dispersion.

Top 6 peaks for 2θ = 10–90°, sorted by position:
d_spacing, I/Imax
4.349, 100.0
3.075, 54.4
2.175, 20.7
1.945, 42.3
1.776, 22.2
1.450, 19.8

Crystal structure
a b c (Å): 6.1509 6.1509 6.1509
angles (deg): 60.00 60.00 60.00
Fractional coordinates of all 8 atoms:
1 La 0.0000 0.0000 0.0000
2 W 0.5000 0.5000 0.5000
3 O 0.2783 0.2783 0.7217
4 O 0.2783 0.7217 0.2783
5 O 0.2783 0.7217 0.7217
6 O 0.7217 0.2783 0.2783
7 O 0.7217 0.2783 0.7217
8 O 0.7217 0.7217 0.2783

Question: Which formula does entry 4 have?
Answer: LaW9O28